# Cd3GeO6
Theoretical powder diffraction line list, Cu Kα (weighted mean of Kα1 and Kα2). Input: the GGA-PBE geometry in Alexandria.
Neutral-atom scattering factors, no anomalous dispersion.

Largest 10 diffraction maxima, low angle first, 2θ = 15–90°:
2theta	Rel. int.	hkl
19.35	21	1 1 0
29.41	100	2 1 1
30.10	17	0 0 2
31.74	20	3 0 1
34.36	12	0 2 0
36.04	25	1 1 2
46.32	17	0 2 2
47.47	25	3 2 1
54.51	16	3 0 3
60.02	15	5 1 2

Structure:
```
data_Cd3GeO6
_chemical_formula_sum 'Cd6 Ge2 O12'
_symmetry_space_group_name_H-M 'P 1'
_symmetry_Int_Tables_number 1
_cell_length_a 9.608
_cell_length_b 5.221
_cell_length_c 5.937
_cell_angle_alpha 90.00
_cell_angle_beta 90.00
_cell_angle_gamma 90.00
loop_
_symmetry_equiv_pos_as_xyz
'x,y,z'
loop_
_atom_site_label
_atom_site_type_symbol
_atom_site_fract_x
_atom_site_fract_y
_atom_site_fract_z
Cd1 Cd 0.000 0.247 0.000
Cd2 Cd 0.195 0.235 0.509
Cd3 Cd 0.305 0.765 0.009
Cd4 Cd 0.500 0.753 0.500
Cd5 Cd 0.695 0.765 0.009
Cd6 Cd 0.805 0.235 0.509
Ge1 Ge 0.000 0.671 0.356
Ge2 Ge 0.500 0.329 0.856
O1 O 0.000 0.005 0.346
O2 O 0.000 0.496 0.615
O3 O 0.143 0.521 0.206
O4 O 0.165 0.032 0.834
O5 O 0.335 0.968 0.334
O6 O 0.357 0.479 0.706
O7 O 0.500 0.504 0.115
O8 O 0.500 0.995 0.846
O9 O 0.643 0.479 0.706
O10 O 0.665 0.968 0.334
O11 O 0.835 0.032 0.834
O12 O 0.857 0.521 0.206
```